Structure and computed powder diffractogram of Li3Sc2PdO6 (a crystal structure in Alexandria, relaxed with GGA-PBE; Cu Kα X-rays).
Kinematic intensities with the Lorentz-polarization factor, no thermal factor.

Peak list (12 most intense, 10 to 90 degrees two-theta, by angle)
d (Å), I (rel.), h k l
5.001, 100, 0 0 1
4.440, 16, 1 1 0
3.899, 11, 1 1 -1
2.646, 35, 1 3 0
2.608, 15, 2 0 -1
2.517, 12, 1 3 -1
2.194, 57, 1 3 1
2.146, 26, 2 0 -2
1.989, 12, 1 3 -2
1.684, 10, 1 3 2
1.540, 16, 3 3 -1
1.529, 15, 1 3 -3

Structural model:
Cell lengths 5.320, 9.320, 5.269 Å; angles 90.00, 108.35, 90.00 degrees
Space group C2/m (No. 12)
Asymmetric unit:
Li (0.000, 0.000, 0.000) x2
Li (0.000, 0.338, 0.000) x4
Sc (0.000, 0.170, 0.500) x4
Pd (0.000, 0.500, 0.500) x2
O (0.247, 0.000, 0.727) x4
O (0.247, 0.173, 0.258) x8